[1]
Computed X-ray powder pattern of K8Zr6BeBr20 for CuKα, from a crystal structure in Alexandria, relaxed with PBE.

```
data_K8Zr6BeBr20
_chemical_formula_sum 'K32 Zr24 Be4 Br80'
_symmetry_space_group_name_H-M 'F m -3 m'
_symmetry_Int_Tables_number 225
_symmetry_space_group_name_Hall '-F 4 2 3'
_cell_length_a 16.6292
_cell_length_b 16.6292
_cell_length_c 16.6292
_cell_angle_alpha 90.00
_cell_angle_beta 90.00
_cell_angle_gamma 90.00
loop_
_atom_site_label
_atom_site_type_symbol
_atom_site_fract_x
_atom_site_fract_y
_atom_site_fract_z
K1 K 0.1395 0.1395 0.1395
Zr1 Zr 0.0000 0.0000 0.3561
Be1 Be 0.0000 0.0000 0.5000
Br1 Br 0.0000 0.0000 0.1819
Br2 Br 0.0000 0.1641 0.3359
Br3 Br 0.2500 0.2500 0.2500
```

Principal peaks in the range 5° ≤ 2θ ≤ 70°, in order of rising 2θ:
index, 2θ (°), d/Å, I (rel.)
1 1 1, 9.2, 9.601, 56
2 0 0, 10.6, 8.315, 37
2 2 2, 18.5, 4.800, 18
4 2 0, 23.9, 3.718, 22
3 3 3, 27.9, 3.200, 63
5 3 1, 31.8, 2.811, 33
6 0 0, 32.3, 2.772, 100
6 2 0, 34.1, 2.629, 28
6 6 0, 46.3, 1.960, 67
9 3 3, 54.9, 1.671, 25

---

[2]
Computed X-ray powder pattern of Li2TiP5O15 for CuKα, from a crystal structure in Alexandria, relaxed with PBE.

```
data_Li2TiP5O15
_chemical_formula_sum 'Li4 Ti2 P10 O30'
_symmetry_space_group_name_H-M 'P 1 c 1'
_symmetry_Int_Tables_number 7
_symmetry_space_group_name_Hall 'P -2yc'
_cell_length_a 5.3524
_cell_length_b 11.3016
_cell_length_c 13.0412
_cell_angle_alpha 90.00
_cell_angle_beta 111.64
_cell_angle_gamma 90.00
loop_
_atom_site_label
_atom_site_type_symbol
_atom_site_fract_x
_atom_site_fract_y
_atom_site_fract_z
Li1 Li 0.0000 0.0292 0.0000
Li2 Li 0.0972 0.0305 0.3122
Ti1 Ti 0.0513 0.4993 0.9078
P1 P 0.0516 0.4742 0.6577
P2 P 0.4777 0.3414 0.8310
P3 P 0.5458 0.0930 0.7672
P4 P 0.5517 0.0936 0.5453
P5 P 0.6249 0.3422 0.4839
O1 O 0.0083 0.4577 0.2486
O2 O 0.0932 0.4568 0.0670
O3 O 0.2673 0.0666 0.4708
O4 O 0.3036 0.3855 0.7075
O5 O 0.3352 0.3718 0.4622
O6 O 0.3381 0.0021 0.2392
O7 O 0.3541 0.3842 0.9108
O8 O 0.4357 0.2016 0.8209
O9 O 0.5490 0.1564 0.6564
O10 O 0.6637 0.2022 0.4923
O11 O 0.7481 0.3856 0.4043
O12 O 0.7579 0.0021 0.0728
O13 O 0.7683 0.3701 0.8538
O14 O 0.8017 0.3844 0.6078
O15 O 0.8299 0.0651 0.8414
```

Principal peaks in the range 5° ≤ 2θ ≤ 70°, in order of rising 2θ:
index, 2θ (°), d/Å, I (rel.)
0 1 0, 7.8, 11.302, 38
0 1 1, 10.7, 8.266, 100
0 2 0, 15.7, 5.651, 34
1 1 0, 19.5, 4.553, 31
1 1 1, 23.1, 3.856, 16
0 1 3, 23.4, 3.805, 12
1 2 0, 23.8, 3.734, 21
1 0 -4, 28.3, 3.158, 16
0 1 4, 30.5, 2.927, 13
1 4 0, 36.6, 2.457, 12

---

[3]
Computed X-ray powder pattern of Pr3Y3Tl for CuKα, from a crystal structure in Alexandria, relaxed with PBE.

```
data_Pr3Y3Tl
_chemical_formula_sum 'Pr6 Y6 Tl2'
_symmetry_space_group_name_H-M 'P 63/m'
_symmetry_Int_Tables_number 176
_symmetry_space_group_name_Hall '-P 6c'
_cell_length_a 9.6074
_cell_length_b 9.6074
_cell_length_c 5.6935
_cell_angle_alpha 90.00
_cell_angle_beta 90.00
_cell_angle_gamma 120.00
loop_
_atom_site_label
_atom_site_type_symbol
_atom_site_fract_x
_atom_site_fract_y
_atom_site_fract_z
Pr1 Pr 0.1070 0.6307 0.2500
Y1 Y 0.0602 0.8231 0.7500
Tl1 Tl 0.3333 0.6667 0.7500
```

Principal peaks in the range 5° ≤ 2θ ≤ 70°, in order of rising 2θ:
index, 2θ (°), d/Å, I (rel.)
1 0 0, 10.6, 8.320, 9
1 1 0, 18.5, 4.804, 4
1 2 0, 28.4, 3.145, 24
0 0 2, 31.4, 2.847, 24
1 2 1, 32.5, 2.753, 100
1 2 2, 42.9, 2.110, 15
4 1 0, 50.3, 1.816, 18
1 2 3, 56.6, 1.625, 20
4 1 2, 60.5, 1.531, 21
2 4 1, 61.1, 1.516, 15

---

[4]
Computed X-ray powder pattern of Na3Sc3GaTe8 for CuKα, from a crystal structure in Alexandria, relaxed with PBE.

```
data_Na3Sc3GaTe8
_chemical_formula_sum 'Na6 Sc6 Ga2 Te16'
_symmetry_space_group_name_H-M 'C 1 2/m 1'
_symmetry_Int_Tables_number 12
_symmetry_space_group_name_Hall '-C 2y'
_cell_length_a 14.3115
_cell_length_b 8.2635
_cell_length_c 9.1225
_cell_angle_alpha 90.00
_cell_angle_beta 121.53
_cell_angle_gamma 90.00
loop_
_atom_site_label
_atom_site_type_symbol
_atom_site_fract_x
_atom_site_fract_y
_atom_site_fract_z
Na1 Na 0.0000 0.0000 0.0000
Na2 Na 0.2500 0.2500 0.0000
Sc1 Sc 0.0000 0.5000 0.5000
Sc2 Sc 0.2500 0.2500 0.5000
Ga1 Ga 0.0000 0.0000 0.5000
Te1 Te 0.0110 0.2505 0.2836
Te2 Te 0.2376 0.0000 0.7146
Te3 Te 0.2409 0.5000 0.7213
```

Principal peaks in the range 5° ≤ 2θ ≤ 70°, in order of rising 2θ:
index, 2θ (°), d/Å, I (rel.)
0 0 1, 11.4, 7.776, 24
0 0 2, 22.9, 3.888, 16
2 2 0, 26.0, 3.421, 43
4 0 0, 29.3, 3.050, 100
2 2 -3, 36.9, 2.439, 12
2 2 2, 39.9, 2.260, 36
0 4 0, 43.8, 2.066, 35
4 0 -5, 50.0, 1.824, 21
4 4 0, 53.6, 1.710, 18
6 2 2, 66.0, 1.416, 11

---

[5]
Computed X-ray powder pattern of Pm4PrPb for CuKα, from a crystal structure in Alexandria, relaxed with PBE.

```
data_Pm4PrPb
_chemical_formula_sum 'Pm8 Pr2 Pb2'
_symmetry_space_group_name_H-M 'P m m n'
_symmetry_Int_Tables_number 59
_cell_length_a 5.7526
_cell_length_b 6.9594
_cell_length_c 9.9794
_cell_angle_alpha 90.00
_cell_angle_beta 90.00
_cell_angle_gamma 90.00
loop_
_symmetry_equiv_pos_as_xyz
'x,y,z'
'-x,-y,-z'
'-x+1/2,-y+1/2,z'
'x+1/2,y+1/2,-z'
'x+1/2,-y,-z'
'-x+1/2,y,z'
'-x,y+1/2,-z'
'x,-y+1/2,z'
loop_
_atom_site_label
_atom_site_type_symbol
_atom_site_fract_x
_atom_site_fract_y
_atom_site_fract_z
Pm1 Pm 0.2500 0.0083 0.2479
Pm2 Pm 0.2500 0.2500 0.6179
Pm3 Pm 0.2500 0.7500 0.9162
Pr1 Pr 0.2500 0.7500 0.5671
Pb1 Pb 0.2500 0.2500 0.9368
```

Principal peaks in the range 5° ≤ 2θ ≤ 70°, in order of rising 2θ:
index, 2θ (°), d/Å, I (rel.)
0 2 0, 25.6, 3.480, 8
2 0 0, 31.1, 2.878, 100
0 2 2, 31.3, 2.853, 89
2 2 0, 40.7, 2.218, 12
2 2 2, 44.7, 2.026, 32
0 4 0, 52.6, 1.740, 8
3 0 3, 55.3, 1.662, 17
3 2 1, 55.5, 1.657, 32
2 4 0, 62.4, 1.489, 27
4 0 0, 64.8, 1.439, 10

---

[6]
Computed X-ray powder pattern of Li3Ac2AgBi4 for CuKα, from a crystal structure in Alexandria, relaxed with PBE.

```
data_Li3Ac2AgBi4
_chemical_formula_sum 'Li3 Ac2 Ag1 Bi4'
_symmetry_space_group_name_H-M 'P -4 m 2'
_symmetry_Int_Tables_number 115
_symmetry_space_group_name_Hall 'P -4 -2'
_cell_length_a 4.9322
_cell_length_b 4.9322
_cell_length_c 11.2048
_cell_angle_alpha 90.00
_cell_angle_beta 90.00
_cell_angle_gamma 90.00
loop_
_atom_site_label
_atom_site_type_symbol
_atom_site_fract_x
_atom_site_fract_y
_atom_site_fract_z
Li1 Li 0.0000 0.0000 0.0000
Li2 Li 0.0000 0.5000 0.6168
Ac1 Ac 0.0000 0.5000 0.2556
Ag1 Ag 0.5000 0.5000 0.0000
Bi1 Bi 0.0000 0.0000 0.5000
Bi2 Bi 0.0000 0.5000 0.8551
Bi3 Bi 0.5000 0.5000 0.5000
```

Principal peaks in the range 5° ≤ 2θ ≤ 70°, in order of rising 2θ:
index, 2θ (°), d/Å, I (rel.)
1 0 2, 24.0, 3.702, 29
1 1 1, 26.8, 3.330, 32
1 0 3, 30.0, 2.978, 34
1 1 2, 30.2, 2.961, 100
2 0 0, 36.4, 2.466, 52
1 0 5, 44.4, 2.040, 23
2 1 3, 47.9, 1.899, 19
2 2 0, 52.5, 1.744, 20
2 1 5, 58.7, 1.572, 20
3 1 2, 61.7, 1.503, 32

---

[7]
Computed X-ray powder pattern of Ho3Ga9Ag2 for CuKα, from a crystal structure in Alexandria, relaxed with PBE.

```
data_Ho3Ga9Ag2
_chemical_formula_sum 'Ho6 Ga18 Ag4'
_symmetry_space_group_name_H-M 'I m m m'
_symmetry_Int_Tables_number 71
_symmetry_space_group_name_Hall '-I 2 2'
_cell_length_a 4.2275
_cell_length_b 10.1356
_cell_length_c 12.5322
_cell_angle_alpha 90.00
_cell_angle_beta 90.00
_cell_angle_gamma 90.00
loop_
_atom_site_label
_atom_site_type_symbol
_atom_site_fract_x
_atom_site_fract_y
_atom_site_fract_z
Ho1 Ho 0.0000 0.0000 0.0000
Ho2 Ho 0.0000 0.0000 0.3166
Ga1 Ga 0.0000 0.2757 0.1414
Ga2 Ga 0.0000 0.3764 0.3360
Ga3 Ga 0.0000 0.5000 0.0000
Ag1 Ag 0.0000 0.2160 0.5000
```

Principal peaks in the range 5° ≤ 2θ ≤ 70°, in order of rising 2θ:
index, 2θ (°), d/Å, I (rel.)
1 3 0, 34.0, 2.639, 21
0 3 3, 34.1, 2.627, 20
1 2 3, 35.0, 2.563, 100
0 4 0, 35.4, 2.534, 10
1 3 2, 37.0, 2.432, 14
2 0 0, 42.8, 2.114, 27
0 0 6, 43.3, 2.089, 19
2 3 3, 55.8, 1.647, 10
2 0 6, 62.5, 1.486, 13
2 5 3, 67.9, 1.381, 10

---

[8]
Computed X-ray powder pattern of MgNi5H8 for CuKα, from a crystal structure in Alexandria, relaxed with PBE.

```
data_MgNi5H8
_chemical_formula_sum 'Mg2 Ni10 H16'
_symmetry_space_group_name_H-M 'C 1 m 1'
_symmetry_Int_Tables_number 8
_symmetry_space_group_name_Hall 'C -2y'
_cell_length_a 12.4149
_cell_length_b 2.7089
_cell_length_c 6.6113
_cell_angle_alpha 90.00
_cell_angle_beta 115.30
_cell_angle_gamma 90.00
loop_
_atom_site_label
_atom_site_type_symbol
_atom_site_fract_x
_atom_site_fract_y
_atom_site_fract_z
Mg1 Mg 0.0000 0.0000 0.0000
Ni1 Ni 0.0927 0.0000 0.4234
Ni2 Ni 0.1925 0.0000 0.8719
Ni3 Ni 0.2084 0.5000 0.2237
Ni4 Ni 0.2984 0.5000 0.6496
Ni5 Ni 0.4574 0.0000 0.5599
H1 H 0.0028 0.5000 0.3356
H2 H 0.0547 0.0000 0.6380
H3 H 0.1292 0.5000 0.9427
H4 H 0.2168 0.0000 0.4062
H5 H 0.2691 0.0000 0.1470
H6 H 0.2787 0.5000 0.8749
H7 H 0.3595 0.5000 0.4563
H8 H 0.3903 0.0000 0.7413
```

Principal peaks in the range 5° ≤ 2θ ≤ 70°, in order of rising 2θ:
index, 2θ (°), d/Å, I (rel.)
0 0 1, 14.8, 5.977, 46
2 0 0, 15.8, 5.612, 41
2 0 1, 26.0, 3.425, 37
2 0 2, 39.8, 2.266, 48
3 1 -1, 40.1, 2.250, 100
3 1 0, 41.1, 2.195, 50
4 0 -3, 43.0, 2.103, 47
1 1 -2, 43.5, 2.082, 51
6 0 -1, 44.1, 2.053, 36
5 1 1, 60.5, 1.531, 26